Record 1
For CeCuH8Ir2, a cell relaxed with PBE gives the calculated XRD peak list in this record (Cu Kα (λ = 1.5418 Å)).

Atomic structure:
Cell lengths 5.928, 5.928, 5.928 Å; angles 47.10, 47.10, 47.10 degrees
Atoms (fractional coordinates):
Ce  0.000  0.000  0.000
Cu  0.500  0.500  0.500
H  0.129  0.560  0.560
H  0.318  0.318  0.318
H  0.440  0.440  0.871
H  0.440  0.871  0.440
H  0.560  0.129  0.560
H  0.560  0.560  0.129
H  0.682  0.682  0.682
H  0.871  0.440  0.440
Ir  0.216  0.216  0.216
Ir  0.784  0.784  0.784

Principal peaks in the range 2θ = 10–80°, sorted by position:
| 2θ (°) | intensity |
| --- | --- |
| 22.39 | 23 |
| 31.46 | 99 |
| 35.90 | 55 |
| 37.99 | 100 |
| 50.13 | 27 |
| 64.58 | 25 |

Record 2
For Rb2CeCu3H12, a cell relaxed with PBE gives the calculated XRD peak list in this record (Cu Kα (λ = 1.5418 Å)).

Atomic structure:
Cell lengths 6.318, 6.318, 6.318 Å; angles 67.41, 67.41, 67.41 degrees
Atoms (fractional coordinates):
Rb  0.112  0.112  0.112
Rb  0.888  0.888  0.888
Ce  0.500  0.500  0.500
Cu  0.000  0.500  0.500
Cu  0.500  0.000  0.500
Cu  0.500  0.500  0.000
H  0.095  0.616  0.616
H  0.244  0.244  0.569
H  0.244  0.569  0.244
H  0.384  0.384  0.905
H  0.384  0.905  0.384
H  0.431  0.756  0.756
H  0.569  0.244  0.244
H  0.616  0.095  0.616
H  0.616  0.616  0.095
H  0.756  0.431  0.756
H  0.756  0.756  0.431
H  0.905  0.384  0.384

Principal peaks in the range 2θ = 10–80°, sorted by position:
| 2θ (°) | intensity |
| --- | --- |
| 25.41 | 58 |
| 31.49 | 100 |
| 31.94 | 77 |
| 34.17 | 62 |
| 50.65 | 40 |
| 52.18 | 37 |

Record 3
For CeCuSbH, a cell relaxed with PBE gives the calculated XRD peak list in this record (Cu Kα (λ = 1.5418 Å)).

Atomic structure:
Cell lengths 4.362, 4.362, 4.403 Å; angles 90.00, 90.00, 120.00 degrees
Atoms (fractional coordinates):
Ce  0.000  0.000  0.000
Cu  0.667  0.333  0.583
Sb  0.333  0.667  0.472
H  0.667  0.333  0.964

Principal peaks in the range 2θ = 10–80°, sorted by position:
| 2θ (°) | intensity |
| --- | --- |
| 31.19 | 100 |
| 41.00 | 12 |
| 41.40 | 44 |
| 52.73 | 22 |
| 59.67 | 22 |
| 69.16 | 20 |

Record 4
For CeCuSnH, a cell relaxed with PBE gives the calculated XRD peak list in this record (Cu Kα (λ = 1.5418 Å)).

Atomic structure:
Cell lengths 4.402, 4.402, 4.222 Å; angles 90.00, 90.00, 120.00 degrees
Atoms (fractional coordinates):
Ce  0.000  0.000  0.000
Cu  0.667  0.333  0.572
Sn  0.333  0.667  0.472
H  0.667  0.333  0.969

Principal peaks in the range 2θ = 10–80°, sorted by position:
| 2θ (°) | intensity |
| --- | --- |
| 31.62 | 100 |
| 41.01 | 47 |
| 42.84 | 11 |
| 52.69 | 24 |
| 60.80 | 24 |
| 68.86 | 21 |

Record 5
For CeCuTcH6, a cell relaxed with PBE gives the calculated XRD peak list in this record (Cu Kα (λ = 1.5418 Å)).

Atomic structure:
Cell lengths 4.597, 4.597, 4.406 Å; angles 90.00, 90.00, 120.00 degrees
Atoms (fractional coordinates):
Ce  0.000  0.000  0.000
Cu  0.333  0.667  0.500
Tc  0.667  0.333  0.500
H  0.505  0.010  0.230
H  0.505  0.010  0.770
H  0.505  0.495  0.230
H  0.505  0.495  0.770
H  0.990  0.495  0.230
H  0.990  0.495  0.770

Principal peaks in the range 2θ = 10–80°, sorted by position:
| 2θ (°) | intensity |
| --- | --- |
| 30.26 | 100 |
| 39.20 | 46 |
| 40.97 | 13 |
| 50.30 | 24 |
| 57.99 | 29 |
| 65.56 | 21 |

Record 6
For CeHf2Cu9, a cell relaxed with PBE gives the calculated XRD peak list in this record (Cu Kα (λ = 1.5418 Å)).

Atomic structure:
Cell lengths 5.093, 5.093, 16.211 Å; angles 90.00, 90.00, 120.00 degrees
Atoms (fractional coordinates):
Ce  0.333  0.667  0.250
Ce  0.667  0.333  0.750
Hf  0.333  0.667  0.032
Hf  0.333  0.667  0.468
Hf  0.667  0.333  0.532
Hf  0.667  0.333  0.968
Cu  0.000  0.000  0.000
Cu  0.000  0.000  0.250
Cu  0.000  0.000  0.500
Cu  0.000  0.000  0.750
Cu  0.168  0.337  0.622
Cu  0.168  0.337  0.878
Cu  0.168  0.832  0.622
Cu  0.168  0.832  0.878
Cu  0.333  0.667  0.750
Cu  0.337  0.168  0.122
Cu  0.337  0.168  0.378
Cu  0.663  0.832  0.622
Cu  0.663  0.832  0.878
Cu  0.667  0.333  0.250
Cu  0.832  0.168  0.122
Cu  0.832  0.168  0.378
Cu  0.832  0.663  0.122
Cu  0.832  0.663  0.378

Principal peaks in the range 2θ = 10–80°, sorted by position:
| 2θ (°) | intensity |
| --- | --- |
| 34.33 | 51 |
| 35.24 | 48 |
| 41.32 | 27 |
| 41.90 | 100 |
| 44.36 | 23 |
| 67.81 | 23 |